Record 1
Structure and calculated XRD peak list of YbHfF7 (a crystal structure in Alexandria, relaxed with GGA-PBE; Cu Kα (weighted mean of Kα1 and Kα2)).

Crystal structure
```
YbHfF7
1.0
6.0368 0.0000 0.0000
0.0000 5.8422 0.0000
-1.8333 0.0000 8.0917
Yb Hf F
2 2 14
Direct
0.1556 0.0000 0.1915 Yb
0.8444 0.5000 0.8085 Yb
0.3178 0.0015 0.7253 Hf
0.6822 0.5015 0.2747 Hf
0.0093 0.7401 0.0036 F
0.0846 0.7519 0.7083 F
0.0889 0.2559 0.7083 F
0.2706 0.0006 0.4789 F
0.3613 0.0027 0.9718 F
0.4323 0.2678 0.2565 F
0.4347 0.7371 0.2590 F
0.5653 0.2371 0.7410 F
0.5677 0.7678 0.7435 F
0.6387 0.5027 0.0282 F
0.7294 0.5006 0.5211 F
0.9111 0.7559 0.2917 F
0.9154 0.2519 0.2917 F
0.9907 0.2401 0.9964 F
```

Most intense lines, 5° ≤ 2θ ≤ 70°, by intensity:
d_spacing, Rel. int.
4.147, 100
4.046, 40
3.151, 32
3.477, 20
3.948, 17
2.088, 16
2.921, 15
1.902, 15
1.937, 13
3.326, 12

Record 2
Structure and calculated XRD peak list of MgGe2Pt6 (a crystal structure in Alexandria, relaxed with GGA-PBE; Cu Kα (weighted mean of Kα1 and Kα2)).

Crystal structure
```
MgGe2Pt6
1.0
3.4966 0.0000 0.0000
0.0000 5.8510 3.6414
0.0000 -5.8510 3.6414
Mg Ge Pt
1 2 6
Direct
0.0000 0.0000 0.0000 Mg
0.5000 0.5838 0.8600 Ge
0.5000 0.8600 0.5838 Ge
0.0000 0.1688 0.5341 Pt
0.0000 0.5341 0.1688 Pt
0.0000 0.5997 0.5997 Pt
0.5000 0.2324 0.8744 Pt
0.5000 0.2928 0.2928 Pt
0.5000 0.8744 0.2324 Pt
```

Most intense lines, 5° ≤ 2θ ≤ 70°, by intensity:
d_spacing, Rel. int.
2.316, 100
2.452, 96
2.061, 45
3.044, 34
6.183, 34
1.950, 28
1.879, 28
1.748, 27
3.439, 27
2.377, 20

Record 3
Structure and calculated XRD peak list of PmNd6Tl4 (a crystal structure in Alexandria, relaxed with GGA-PBE; Cu Kα (weighted mean of Kα1 and Kα2)).

Crystal structure
```
PmNd6Tl4
1.0
-4.0083 4.0083 6.0393
4.0083 -4.0083 6.0393
4.0083 4.0083 -6.0393
Pm Nd Tl
1 6 4
Direct
0.0000 0.0000 0.0000 Pm
0.0000 0.5000 0.5000 Nd
0.0964 0.4724 0.0000 Nd
0.4724 0.0964 0.0000 Nd
0.5000 0.0000 0.5000 Nd
0.5276 0.5276 0.6240 Nd
0.9036 0.9036 0.3760 Nd
0.2649 0.2649 0.6676 Tl
0.4027 0.7351 0.0000 Tl
0.5973 0.5973 0.3324 Tl
0.7351 0.4027 0.0000 Tl
```

Most intense lines, 5° ≤ 2θ ≤ 70°, by intensity:
d_spacing, Rel. int.
2.677, 100
2.665, 60
2.609, 58
6.679, 39
1.751, 38
3.340, 36
3.437, 36
2.834, 32
2.067, 31
2.535, 31